Structure and calculated powder diffraction line list of RbBaTl4Sb2 (a GGA-PBE-relaxed structure; λ = 1.5418 Å (Cu Kα)).

Peak list (10 most intense, 2θ from 15° to 90°, sorted by position)
- 2θ = 26.44°, I = 135
- 2θ = 26.98°, I = 140
- 2θ = 29.36°, I = 1000
- 2θ = 32.41°, I = 148
- 2θ = 32.98°, I = 119
- 2θ = 37.31°, I = 401
- 2θ = 37.53°, I = 231
- 2θ = 46.31°, I = 121
- 2θ = 53.79°, I = 140
- 2θ = 62.47°, I = 239

Structure:
a b c (Å): 4.8201 4.8201 13.4834
angles (deg): 90.00 90.00 90.00
Fractional positions:
Rb 0.0000 0.0000 0.0000
Ba 0.0000 0.0000 0.5000
Tl 0.0000 0.5000 0.2272
Tl 0.0000 0.5000 0.7728
Tl 0.5000 0.0000 0.2272
Tl 0.5000 0.0000 0.7728
Sb 0.5000 0.5000 0.3884
Sb 0.5000 0.5000 0.6116

Structure and calculated powder diffraction line list of RbBaSe4 (a GGA-PBE-relaxed structure; λ = 1.5418 Å (Cu Kα)).

Peak list (10 most intense, 2θ from 15° to 90°, sorted by position)
- 2θ = 21.94°, I = 594
- 2θ = 27.75°, I = 1000
- 2θ = 35.65°, I = 374
- 2θ = 39.56°, I = 192
- 2θ = 39.73°, I = 178
- 2θ = 39.85°, I = 743
- 2θ = 57.31°, I = 118
- 2θ = 57.47°, I = 478
- 2θ = 64.73°, I = 86
- 2θ = 79.28°, I = 98

Structure:
a b c (Å): 5.2164 9.1119 9.0752
angles (deg): 90.00 90.00 90.00
Fractional positions:
Rb 0.0000 0.0000 0.0000
Rb 0.5000 0.5000 0.0000
Ba 0.0000 0.5000 0.5000
Ba 0.5000 0.0000 0.5000
Se 0.2500 0.2500 0.2657
Se 0.2500 0.2500 0.7343
Se 0.2500 0.7500 0.2657
Se 0.2500 0.7500 0.7343
Se 0.7500 0.2500 0.2657
Se 0.7500 0.2500 0.7343
Se 0.7500 0.7500 0.2657
Se 0.7500 0.7500 0.7343

Structure and calculated powder diffraction line list of Rb2BaSnSe4 (a GGA-PBE-relaxed structure; λ = 1.5418 Å (Cu Kα)).

Peak list (10 most intense, 2θ from 15° to 90°, sorted by position)
- 2θ = 27.10°, I = 439
- 2θ = 27.46°, I = 1000
- 2θ = 35.35°, I = 140
- 2θ = 37.56°, I = 173
- 2θ = 38.97°, I = 604
- 2θ = 40.84°, I = 183
- 2θ = 46.93°, I = 137
- 2θ = 49.70°, I = 162
- 2θ = 56.68°, I = 103
- 2θ = 63.93°, I = 108

Structure:
a b c (Å): 9.2609 9.2609 9.2609
angles (deg): 122.99 117.72 89.45
Fractional positions:
Rb 0.0000 0.0000 0.0000
Rb 0.5000 0.0000 0.0000
Rb 0.5000 0.0000 0.5000
Rb 0.5000 0.5000 0.5000
Ba 0.0000 0.5000 0.5000
Ba 0.5000 0.5000 0.0000
Sn 0.0000 0.0000 0.5000
Sn 0.0000 0.5000 0.0000
Se 0.1995 0.7482 0.4513
Se 0.2032 0.2518 0.9513
Se 0.2068 0.2129 0.5061
Se 0.2068 0.7007 0.9939
Se 0.7932 0.2993 0.0061
Se 0.7932 0.7871 0.4939
Se 0.7968 0.7482 0.0487
Se 0.8005 0.2518 0.5487

Structure and calculated powder diffraction line list of RbBaTaSe4 (a GGA-PBE-relaxed structure; λ = 1.5418 Å (Cu Kα)).

Peak list (10 most intense, 2θ from 15° to 90°, sorted by position)
- 2θ = 15.42°, I = 1000
- 2θ = 17.76°, I = 410
- 2θ = 24.27°, I = 707
- 2θ = 25.84°, I = 409
- 2θ = 26.54°, I = 582
- 2θ = 27.31°, I = 378
- 2θ = 28.60°, I = 929
- 2θ = 29.24°, I = 797
- 2θ = 34.99°, I = 939
- 2θ = 37.11°, I = 670

Structure:
a b c (Å): 7.5107 7.3348 9.6923
angles (deg): 90.00 107.31 90.00
Fractional positions:
Rb 0.2170 0.2500 0.4303
Rb 0.7830 0.7500 0.5697
Ba 0.2684 0.2500 0.9520
Ba 0.7316 0.7500 0.0480
Ta 0.2952 0.7500 0.1946
Ta 0.7048 0.2500 0.8054
Se 0.0928 0.7500 0.3466
Se 0.1200 0.7500 0.9414
Se 0.4971 0.5088 0.7570
Se 0.4971 0.9912 0.7570
Se 0.5029 0.0088 0.2430
Se 0.5029 0.4912 0.2430
Se 0.8800 0.2500 0.0586
Se 0.9072 0.2500 0.6534

Structure and calculated powder diffraction line list of RbBa4Sr8 (a GGA-PBE-relaxed structure; λ = 1.5418 Å (Cu Kα)).

Peak list (10 most intense, 2θ from 15° to 90°, sorted by position)
- 2θ = 24.92°, I = 1000
- 2θ = 28.86°, I = 520
- 2θ = 41.27°, I = 388
- 2θ = 48.81°, I = 471
- 2θ = 51.14°, I = 136
- 2θ = 65.78°, I = 191
- 2θ = 67.69°, I = 116
- 2θ = 67.78°, I = 60
- 2θ = 75.23°, I = 130
- 2θ = 80.66°, I = 106

Structure:
a b c (Å): 11.5814 11.5814 11.5814
angles (deg): 94.08 94.08 149.05
Fractional positions:
Rb 0.0000 0.0000 0.0000
Ba 0.1544 0.2336 0.3881
Ba 0.2336 0.8456 0.0792
Ba 0.7664 0.1544 0.9208
Ba 0.8456 0.7664 0.6119
Sr 0.0752 0.6123 0.6875
Sr 0.3020 0.4629 0.7649
Sr 0.3877 0.0752 0.4630
Sr 0.4629 0.6980 0.1609
Sr 0.5371 0.3020 0.8391
Sr 0.6123 0.9248 0.5370
Sr 0.6980 0.5371 0.2351
Sr 0.9248 0.3877 0.3125

Structure and calculated powder diffraction line list of RbBa6Sr8 (a GGA-PBE-relaxed structure; λ = 1.5418 Å (Cu Kα)).

Peak list (10 most intense, 2θ from 15° to 90°, sorted by position)
- 2θ = 19.23°, I = 140
- 2θ = 25.33°, I = 688
- 2θ = 25.43°, I = 831
- 2θ = 26.04°, I = 1000
- 2θ = 28.62°, I = 145
- 2θ = 30.37°, I = 201
- 2θ = 37.16°, I = 201
- 2θ = 42.22°, I = 198
- 2θ = 44.40°, I = 175
- 2θ = 45.57°, I = 277

Structure:
a b c (Å): 10.8375 10.8375 10.8375
angles (deg): 59.75 59.75 59.75
Fractional positions:
Rb 0.0000 0.0000 0.0000
Ba 0.0605 0.5299 0.2776
Ba 0.2776 0.0605 0.5299
Ba 0.4701 0.7224 0.9395
Ba 0.5299 0.2776 0.0605
Ba 0.7224 0.9395 0.4701
Ba 0.9395 0.4701 0.7224
Sr 0.1253 0.6587 0.8145
Sr 0.1855 0.8747 0.3413
Sr 0.3413 0.1855 0.8747
Sr 0.4225 0.4225 0.4225
Sr 0.5775 0.5775 0.5775
Sr 0.6587 0.8145 0.1253
Sr 0.8145 0.1253 0.6587
Sr 0.8747 0.3413 0.1855